(1)
Computed X-ray powder pattern of Al2AuBr for Cu Kα (weighted mean of Kα1 and Kα2), from DFT lattice parameters and positions (GGA-PBE).

Most intense lines, 10 to 90 degrees two-theta, sorted by position:
two_theta	d [Å]	I/Imax
12.0	7.386	52
24.1	3.693	36
26.7	3.345	53
34.2	2.622	31
36.2	2.479	100
41.6	2.172	18
42.3	2.138	17
62.6	1.485	20

Crystal structure
```
data_Al2AuBr
_chemical_formula_sum 'Al2 Au1 Br1'
_cell_length_a 3.404
_cell_length_b 3.404
_cell_length_c 7.386
_cell_angle_alpha 90.00
_cell_angle_beta 90.00
_cell_angle_gamma 100.73
_symmetry_space_group_name_H-M 'P 1'
_symmetry_Int_Tables_number 1
loop_
_symmetry_equiv_pos_as_xyz
'x,y,z'
loop_
_atom_site_label
_atom_site_fract_x
_atom_site_fract_y
_atom_site_fract_z
Al1 0.000 0.000 0.206
Al2 0.000 0.000 0.794
Au1 0.500 0.500 0.000
Br1 0.500 0.500 0.500
```

=====

(2)
Computed X-ray powder pattern of La4PrEr2 for Cu Kα (weighted mean of Kα1 and Kα2), from DFT lattice parameters and positions (GGA-PBE).

Most intense lines, 10 to 90 degrees two-theta, sorted by position:
two_theta	d [Å]	I/Imax
29.3	3.052	15
29.7	3.010	100
30.2	2.963	29
31.0	2.885	68
31.6	2.832	28
31.9	2.809	21
36.4	2.469	31
49.7	1.835	21

Crystal structure
```
data_La4PrEr2
_chemical_formula_sum 'La8 Pr2 Er4'
_cell_length_a 12.774
_cell_length_b 12.774
_cell_length_c 6.924
_cell_angle_alpha 96.95
_cell_angle_beta 96.95
_cell_angle_gamma 150.31
_symmetry_space_group_name_H-M 'P 1'
_symmetry_Int_Tables_number 1
loop_
_symmetry_equiv_pos_as_xyz
'x,y,z'
loop_
_atom_site_label
_atom_site_fract_x
_atom_site_fract_y
_atom_site_fract_z
La1 0.018 0.982 0.500
La2 0.140 0.604 0.744
La3 0.213 0.609 0.282
La4 0.449 0.553 0.462
La5 0.553 0.449 0.962
La6 0.604 0.140 0.244
La7 0.609 0.213 0.782
La8 0.982 0.018 0.000
Pr1 0.092 0.842 0.873
Pr2 0.842 0.092 0.373
Er1 0.046 0.731 0.324
Er2 0.344 0.530 0.921
Er3 0.530 0.344 0.421
Er4 0.731 0.046 0.824
```

=====

(3)
Computed X-ray powder pattern of HoTm2Sc for Cu Kα (weighted mean of Kα1 and Kα2), from DFT lattice parameters and positions (GGA-PBE).

Most intense lines, 10 to 90 degrees two-theta, sorted by position:
two_theta	d [Å]	I/Imax
30.2	2.956	61
32.3	2.772	47
32.7	2.738	100
35.4	2.539	96
48.9	1.864	23
52.8	1.734	36
61.3	1.513	21
63.3	1.470	40

Crystal structure
```
data_HoTm2Sc
_chemical_formula_sum 'Ho1 Tm2 Sc1'
_cell_length_a 3.468
_cell_length_b 3.468
_cell_length_c 11.269
_cell_angle_alpha 98.85
_cell_angle_beta 98.85
_cell_angle_gamma 60.00
_symmetry_space_group_name_H-M 'P 1'
_symmetry_Int_Tables_number 1
loop_
_symmetry_equiv_pos_as_xyz
'x,y,z'
loop_
_atom_site_label
_atom_site_fract_x
_atom_site_fract_y
_atom_site_fract_z
Ho1 0.000 0.000 0.000
Tm1 0.422 0.422 0.261
Tm2 0.581 0.581 0.742
Sc1 0.835 0.835 0.503
```

=====

(4)
Computed X-ray powder pattern of Nd5YIn3 for Cu Kα (weighted mean of Kα1 and Kα2), from DFT lattice parameters and positions (GGA-PBE).

Most intense lines, 10 to 90 degrees two-theta, sorted by position:
two_theta	d [Å]	I/Imax
31.9	2.807	92
32.3	2.768	100
46.1	1.971	33
57.4	1.605	33
57.7	1.598	18
63.4	1.468	28
76.8	1.241	14
82.1	1.174	13

Crystal structure
```
data_Nd5YIn3
_chemical_formula_sum 'Nd10 Y2 In6'
_cell_length_a 9.587
_cell_length_b 9.587
_cell_length_c 6.924
_cell_angle_alpha 90.00
_cell_angle_beta 90.00
_cell_angle_gamma 120.00
_symmetry_space_group_name_H-M 'P 1'
_symmetry_Int_Tables_number 1
loop_
_symmetry_equiv_pos_as_xyz
'x,y,z'
loop_
_atom_site_label
_atom_site_fract_x
_atom_site_fract_y
_atom_site_fract_z
Nd1 0.000 0.340 0.250
Nd2 0.000 0.660 0.750
Nd3 0.333 0.667 0.000
Nd4 0.333 0.667 0.500
Nd5 0.340 0.000 0.250
Nd6 0.340 0.340 0.750
Nd7 0.660 0.000 0.750
Nd8 0.660 0.660 0.250
Nd9 0.667 0.333 0.000
Nd10 0.667 0.333 0.500
Y1 0.000 0.000 0.000
Y2 0.000 0.000 0.500
In1 0.000 0.323 0.750
In2 0.000 0.677 0.250
In3 0.323 0.000 0.750
In4 0.323 0.323 0.250
In5 0.677 0.000 0.250
In6 0.677 0.677 0.750
```

=====

(5)
Computed X-ray powder pattern of Ac2Cd for Cu Kα (weighted mean of Kα1 and Kα2), from DFT lattice parameters and positions (GGA-PBE).

Most intense lines, 10 to 90 degrees two-theta, sorted by position:
two_theta	d [Å]	I/Imax
22.8	3.896	14
29.3	3.046	100
31.2	2.871	47
40.9	2.208	10
44.6	2.030	18
50.8	1.796	16
54.3	1.689	36
65.0	1.436	10

Crystal structure
```
data_Ac2Cd
_chemical_formula_sum 'Ac2 Cd1'
_cell_length_a 7.480
_cell_length_b 7.480
_cell_length_c 7.480
_cell_angle_alpha 148.51
_cell_angle_beta 148.51
_cell_angle_gamma 45.14
_symmetry_space_group_name_H-M 'P 1'
_symmetry_Int_Tables_number 1
loop_
_symmetry_equiv_pos_as_xyz
'x,y,z'
loop_
_atom_site_label
_atom_site_fract_x
_atom_site_fract_y
_atom_site_fract_z
Ac1 0.148 0.148 0.000
Ac2 0.852 0.852 0.000
Cd1 0.500 0.500 0.000
```

=====

(6)
Computed X-ray powder pattern of Ac5La2Sm4 for Cu Kα (weighted mean of Kα1 and Kα2), from DFT lattice parameters and positions (GGA-PBE).

Most intense lines, 10 to 90 degrees two-theta, sorted by position:
two_theta	d [Å]	I/Imax
26.6	3.356	16
27.8	3.214	13
29.2	3.059	100
29.4	3.037	38
30.7	2.915	24
32.0	2.795	24
38.0	2.366	13
57.9	1.593	29

Crystal structure
```
data_Ac5La2Sm4
_chemical_formula_sum 'Ac5 La2 Sm4'
_cell_length_a 9.346
_cell_length_b 3.731
_cell_length_c 12.665
_cell_angle_alpha 90.00
_cell_angle_beta 92.52
_cell_angle_gamma 90.00
_symmetry_space_group_name_H-M 'P 1'
_symmetry_Int_Tables_number 1
loop_
_symmetry_equiv_pos_as_xyz
'x,y,z'
loop_
_atom_site_label
_atom_site_fract_x
_atom_site_fract_y
_atom_site_fract_z
Ac1 0.000 0.000 0.000
Ac2 0.199 0.000 0.524
Ac3 0.275 0.000 0.811
Ac4 0.725 0.000 0.189
Ac5 0.801 0.000 0.476
La1 0.355 0.000 0.120
La2 0.645 0.000 0.880
Sm1 0.076 0.500 0.268
Sm2 0.465 0.500 0.358
Sm3 0.535 0.500 0.642
Sm4 0.924 0.500 0.732
```

=====

(7)
Computed X-ray powder pattern of CaTb5Cd6 for Cu Kα (weighted mean of Kα1 and Kα2), from DFT lattice parameters and positions (GGA-PBE).

Most intense lines, 10 to 90 degrees two-theta, sorted by position:
two_theta	d [Å]	I/Imax
33.6	2.664	100
48.2	1.887	12
48.4	1.879	6
60.1	1.539	24
60.2	1.536	12
70.8	1.331	7
80.5	1.193	10
80.9	1.189	5

Crystal structure
```
data_CaTb5Cd6
_chemical_formula_sum 'Ca1 Tb5 Cd6'
_cell_length_a 8.435
_cell_length_b 8.435
_cell_length_c 7.516
_cell_angle_alpha 90.00
_cell_angle_beta 90.00
_cell_angle_gamma 143.11
_symmetry_space_group_name_H-M 'P 1'
_symmetry_Int_Tables_number 1
loop_
_symmetry_equiv_pos_as_xyz
'x,y,z'
loop_
_atom_site_label
_atom_site_fract_x
_atom_site_fract_y
_atom_site_fract_z
Ca1 0.000 0.000 0.000
Tb1 0.000 0.000 0.500
Tb2 0.334 0.666 0.000
Tb3 0.334 0.666 0.500
Tb4 0.666 0.334 0.000
Tb5 0.666 0.334 0.500
Cd1 0.168 0.832 0.252
Cd2 0.168 0.832 0.748
Cd3 0.500 0.500 0.255
Cd4 0.500 0.500 0.745
Cd5 0.832 0.168 0.252
Cd6 0.832 0.168 0.748
```

=====

(8)
Computed X-ray powder pattern of Pm3PrMg for Cu Kα (weighted mean of Kα1 and Kα2), from DFT lattice parameters and positions (GGA-PBE).

Most intense lines, 10 to 90 degrees two-theta, sorted by position:
two_theta	d [Å]	I/Imax
30.3	2.947	45
30.8	2.902	52
31.0	2.888	100
33.1	2.708	87
40.4	2.231	19
57.0	1.615	21
57.6	1.601	22
58.2	1.586	20

Crystal structure
```
data_Pm3PrMg
_chemical_formula_sum 'Pm6 Pr2 Mg2'
_cell_length_a 10.148
_cell_length_b 10.148
_cell_length_c 8.924
_cell_angle_alpha 103.58
_cell_angle_beta 103.58
_cell_angle_gamma 21.51
_symmetry_space_group_name_H-M 'P 1'
_symmetry_Int_Tables_number 1
loop_
_symmetry_equiv_pos_as_xyz
'x,y,z'
loop_
_atom_site_label
_atom_site_fract_x
_atom_site_fract_y
_atom_site_fract_z
Pm1 0.003 0.003 0.274
Pm2 0.187 0.187 0.378
Pm3 0.204 0.204 0.825
Pm4 0.796 0.796 0.175
Pm5 0.813 0.813 0.622
Pm6 0.997 0.997 0.726
Pr1 0.400 0.400 0.958
Pr2 0.600 0.600 0.042
Mg1 0.404 0.404 0.436
Mg2 0.596 0.596 0.564
```

=====

(9)
Computed X-ray powder pattern of Nd2Y3Tl4 for Cu Kα (weighted mean of Kα1 and Kα2), from DFT lattice parameters and positions (GGA-PBE).

Most intense lines, 10 to 90 degrees two-theta, sorted by position:
two_theta	d [Å]	I/Imax
20.9	4.243	19
31.6	2.833	100
33.6	2.665	89
46.8	1.941	34
54.9	1.672	18
58.9	1.569	34
60.1	1.539	18
65.9	1.417	10

Crystal structure
```
data_Nd2Y3Tl4
_chemical_formula_sum 'Nd2 Y3 Tl4'
_cell_length_a 5.330
_cell_length_b 5.330
_cell_length_c 10.764
_cell_angle_alpha 90.07
_cell_angle_beta 90.07
_cell_angle_gamma 60.04
_symmetry_space_group_name_H-M 'P 1'
_symmetry_Int_Tables_number 1
loop_
_symmetry_equiv_pos_as_xyz
'x,y,z'
loop_
_atom_site_label
_atom_site_fract_x
_atom_site_fract_y
_atom_site_fract_z
Nd1 0.167 0.167 0.279
Nd2 0.833 0.833 0.721
Y1 0.166 0.166 0.925
Y2 0.500 0.500 0.500
Y3 0.834 0.834 0.075
Tl1 0.166 0.166 0.604
Tl2 0.500 0.500 0.150
Tl3 0.500 0.500 0.850
Tl4 0.834 0.834 0.396
```

=====

(10)
Computed X-ray powder pattern of HfSc4N4 for Cu Kα (weighted mean of Kα1 and Kα2), from DFT lattice parameters and positions (GGA-PBE).

Most intense lines, 10 to 90 degrees two-theta, sorted by position:
two_theta	d [Å]	I/Imax
17.5	5.077	27
23.2	3.828	62
34.2	2.619	100
39.7	2.271	58
39.9	2.262	26
57.4	1.606	17
57.5	1.603	36
68.6	1.369	26

Crystal structure
```
data_HfSc4N4
_chemical_formula_sum 'Hf1 Sc4 N4'
_cell_length_a 5.559
_cell_length_b 5.559
_cell_length_c 5.559
_cell_angle_alpha 99.53
_cell_angle_beta 99.53
_cell_angle_gamma 131.97
_symmetry_space_group_name_H-M 'P 1'
_symmetry_Int_Tables_number 1
loop_
_symmetry_equiv_pos_as_xyz
'x,y,z'
loop_
_atom_site_label
_atom_site_fract_x
_atom_site_fract_y
_atom_site_fract_z
Hf1 0.000 0.000 0.000
Sc1 0.188 0.392 0.579
Sc2 0.392 0.812 0.204
Sc3 0.608 0.188 0.796
Sc4 0.812 0.608 0.421
N1 0.097 0.706 0.804
N2 0.294 0.097 0.391
N3 0.706 0.903 0.609
N4 0.903 0.294 0.196
```

=====

(11)
Computed X-ray powder pattern of CsU2Ag2S7 for Cu Kα (weighted mean of Kα1 and Kα2), from DFT lattice parameters and positions (GGA-PBE).

Most intense lines, 10 to 90 degrees two-theta, sorted by position:
two_theta	d [Å]	I/Imax
17.6	5.050	50
20.8	4.269	100
25.4	3.506	56
26.0	3.424	89
34.2	2.625	64
34.6	2.591	61
43.8	2.066	46
49.4	1.844	44

Crystal structure
```
data_CsU2Ag2S7
_chemical_formula_sum 'Cs1 U2 Ag2 S7'
_cell_length_a 11.882
_cell_length_b 11.882
_cell_length_c 11.882
_cell_angle_alpha 154.81
_cell_angle_beta 154.48
_cell_angle_gamma 36.16
_symmetry_space_group_name_H-M 'P 1'
_symmetry_Int_Tables_number 1
loop_
_symmetry_equiv_pos_as_xyz
'x,y,z'
loop_
_atom_site_label
_atom_site_fract_x
_atom_site_fract_y
_atom_site_fract_z
Cs1 0.000 0.000 0.000
U1 0.383 0.383 0.000
U2 0.617 0.617 0.000
Ag1 0.222 0.722 0.500
Ag2 0.778 0.278 0.500
S1 0.110 0.610 0.500
S2 0.270 0.270 0.000
S3 0.385 0.885 0.500
S4 0.500 0.500 0.000
S5 0.615 0.115 0.500
S6 0.730 0.730 0.000
S7 0.890 0.390 0.500
```

=====

(12)
Computed X-ray powder pattern of Y2MnGa5 for Cu Kα (weighted mean of Kα1 and Kα2), from DFT lattice parameters and positions (GGA-PBE).

Most intense lines, 10 to 90 degrees two-theta, sorted by position:
two_theta	d [Å]	I/Imax
29.9	2.993	16
34.0	2.633	14
36.3	2.474	100
41.0	2.199	44
44.4	2.042	15
62.0	1.496	18
71.7	1.317	17
76.4	1.247	14

Crystal structure
```
data_Y2MnGa5
_chemical_formula_sum 'Y2 Mn1 Ga5'
_cell_length_a 6.002
_cell_length_b 6.002
_cell_length_c 6.002
_cell_angle_alpha 117.57
_cell_angle_beta 117.57
_cell_angle_gamma 94.26
_symmetry_space_group_name_H-M 'P 1'
_symmetry_Int_Tables_number 1
loop_
_symmetry_equiv_pos_as_xyz
'x,y,z'
loop_
_atom_site_label
_atom_site_fract_x
_atom_site_fract_y
_atom_site_fract_z
Y1 0.000 0.500 0.500
Y2 0.500 0.000 0.500
Mn1 0.336 0.336 0.000
Ga1 0.014 0.014 0.000
Ga2 0.535 0.535 0.569
Ga3 0.535 0.966 0.000
Ga4 0.966 0.535 0.000
Ga5 0.966 0.966 0.431
```

=====

(13)
Computed X-ray powder pattern of DyTc2AgO8 for Cu Kα (weighted mean of Kα1 and Kα2), from DFT lattice parameters and positions (GGA-PBE).

Most intense lines, 10 to 90 degrees two-theta, sorted by position:
two_theta	d [Å]	I/Imax
17.0	5.229	48
21.7	4.104	87
29.6	3.019	100
32.0	2.797	82
44.1	2.052	48
48.0	1.894	19
52.5	1.743	20
54.0	1.697	36

Crystal structure
```
data_DyTc2AgO8
_chemical_formula_sum 'Dy1 Tc2 Ag1 O8'
_cell_length_a 6.038
_cell_length_b 6.038
_cell_length_c 6.621
_cell_angle_alpha 90.00
_cell_angle_beta 90.00
_cell_angle_gamma 120.00
_symmetry_space_group_name_H-M 'P 1'
_symmetry_Int_Tables_number 1
loop_
_symmetry_equiv_pos_as_xyz
'x,y,z'
loop_
_atom_site_label
_atom_site_fract_x
_atom_site_fract_y
_atom_site_fract_z
Dy1 0.000 0.000 0.000
Tc1 0.333 0.667 0.297
Tc2 0.667 0.333 0.703
Ag1 0.000 0.000 0.500
O1 0.170 0.339 0.210
O2 0.170 0.830 0.210
O3 0.333 0.667 0.559
O4 0.339 0.170 0.790
O5 0.661 0.830 0.210
O6 0.667 0.333 0.441
O7 0.830 0.170 0.790
O8 0.830 0.661 0.790
```

=====

(14)
Computed X-ray powder pattern of Pr5Cd6 for Cu Kα (weighted mean of Kα1 and Kα2), from DFT lattice parameters and positions (GGA-PBE).

Most intense lines, 10 to 90 degrees two-theta, sorted by position:
two_theta	d [Å]	I/Imax
30.0	2.983	11
32.7	2.740	30
33.2	2.696	24
33.4	2.679	100
47.3	1.922	18
58.8	1.570	19
59.5	1.553	14
70.3	1.340	8

Crystal structure
```
data_Pr5Cd6
_chemical_formula_sum 'Pr5 Cd6'
_cell_length_a 9.322
_cell_length_b 9.322
_cell_length_c 9.322
_cell_angle_alpha 145.82
_cell_angle_beta 132.73
_cell_angle_gamma 59.62
_symmetry_space_group_name_H-M 'P 1'
_symmetry_Int_Tables_number 1
loop_
_symmetry_equiv_pos_as_xyz
'x,y,z'
loop_
_atom_site_label
_atom_site_fract_x
_atom_site_fract_y
_atom_site_fract_z
Pr1 0.000 0.000 0.000
Pr2 0.162 0.662 0.500
Pr3 0.320 0.320 0.000
Pr4 0.680 0.680 0.000
Pr5 0.838 0.338 0.500
Cd1 0.130 0.849 0.282
Cd2 0.284 0.500 0.784
Cd3 0.433 0.151 0.282
Cd4 0.567 0.849 0.718
Cd5 0.716 0.500 0.216
Cd6 0.870 0.151 0.718
```